Entry 1:
Computed X-ray powder pattern of TbGa6Fe6 for Cu Kα, from the GGA-PBE geometry in the Materials Project.
Intensities are scaled so that the largest is 100.

Structure:
Cell lengths 8.591, 6.659, 6.551 Å; angles 81.13, 49.98, 48.89 degrees
Fractional coordinates of all 13 atoms:
Tb: 0.000 0.000 0.000
Ga: 0.000 0.000 0.500
Ga: 0.016 0.351 0.649
Ga: 0.351 0.016 0.984
Ga: 0.500 0.500 0.000
Ga: 0.649 0.984 0.016
Ga: 0.984 0.649 0.351
Fe: 0.000 0.500 0.000
Fe: 0.290 0.492 0.508
Fe: 0.492 0.290 0.710
Fe: 0.500 0.000 0.500
Fe: 0.508 0.710 0.290
Fe: 0.710 0.508 0.492

The 10 most intense peaks (2θ = 10–90°), sorted by position:
d/Å  I_rel
2.701  16
2.593  22
2.507  72
2.220  91
2.181  65
2.148  100
1.964  21
1.480  14
1.403  15
1.253  35



Entry 2:
Computed X-ray powder pattern of TbFe6Co5W for Cu Kα, from the GGA-PBE geometry in the Materials Project.
Intensities are scaled so that the largest is 100.

Structure:
Cell lengths 6.326, 6.326, 6.326 Å; angles 137.10, 98.67, 96.70 degrees
Fractional coordinates of all 13 atoms:
Tb: 0.000 0.000 0.000
Fe: 0.225 0.725 0.500
Fe: 0.496 0.495 0.498
Fe: 0.496 0.998 0.000
Fe: 0.768 0.268 0.500
Fe: 0.998 0.495 0.000
Fe: 0.998 0.998 0.502
Co: 0.206 0.493 0.713
Co: 0.347 0.347 0.000
Co: 0.347 0.992 0.355
Co: 0.637 0.992 0.645
Co: 0.780 0.493 0.287
W: 0.626 0.626 0.000

The 10 most intense peaks (2θ = 10–90°), sorted by position:
d/Å  I_rel
4.034  28
2.911  30
2.397  40
2.363  52
2.313  30
2.072  73
2.060  100
2.027  37
2.017  53
1.819  29



Entry 3:
Computed X-ray powder pattern of ZrGaPt for Cu Kα, from the GGA-PBE geometry in the Materials Project.
Intensities are scaled so that the largest is 100.

Structure:
Cell lengths 7.199, 7.199, 3.614 Å; angles 90.00, 90.00, 120.00 degrees
Fractional coordinates of all 9 atoms:
Zr: 0.000 0.603 0.000
Zr: 0.397 0.397 0.000
Zr: 0.603 0.000 0.000
Ga: 0.000 0.264 0.500
Ga: 0.264 0.000 0.500
Ga: 0.736 0.736 0.500
Pt: 0.000 0.000 0.000
Pt: 0.333 0.667 0.500
Pt: 0.667 0.333 0.500

The 10 most intense peaks (2θ = 10–90°), sorted by position:
d/Å  I_rel
3.600  50
3.126  37
2.550  53
2.360  100
2.078  58
1.974  51
1.807  20
1.800  14
1.364  29
1.330  30



Entry 4:
Computed X-ray powder pattern of MgTe4Mo2W2Se2S2 for Cu Kα, from the GGA-PBE geometry in the Materials Project.
Intensities are scaled so that the largest is 100.

Structure:
Cell lengths 3.399, 3.399, 44.922 Å; angles 90.00, 90.00, 120.00 degrees
Fractional coordinates of all 13 atoms:
Mg: 0.000 0.000 0.000
Te: 0.333 0.667 0.253
Te: 0.333 0.667 0.336
Te: 0.667 0.333 0.689
Te: 0.667 0.333 0.772
Mo: 0.333 0.667 0.731
Mo: 0.667 0.333 0.914
W: 0.333 0.667 0.113
W: 0.667 0.333 0.295
Se: 0.667 0.333 0.076
Se: 0.667 0.333 0.150
S: 0.333 0.667 0.881
S: 0.333 0.667 0.948

The 10 most intense peaks (2θ = 10–90°), sorted by position:
d/Å  I_rel
7.487  47
2.942  56
2.797  30
2.607  87
2.462  44
2.241  100
2.169  25
2.099  27
1.699  42
1.670  20



Entry 5:
Computed X-ray powder pattern of Rb3MnBr5 for Cu Kα, from the GGA-PBE geometry in the Materials Project.
Intensities are scaled so that the largest is 100.

Structure:
Cell lengths 10.198, 10.198, 10.198 Å; angles 124.86, 124.86, 81.77 degrees
Fractional coordinates of all 18 atoms:
Rb: 0.167 0.667 0.834
Rb: 0.250 0.250 0.000
Rb: 0.333 0.167 0.500
Rb: 0.667 0.833 0.500
Rb: 0.750 0.750 0.000
Rb: 0.833 0.333 0.166
Mn: 0.250 0.750 0.500
Mn: 0.750 0.250 0.500
Br: 0.000 0.000 0.000
Br: 0.005 0.798 0.500
Br: 0.202 0.702 0.207
Br: 0.298 0.505 0.500
Br: 0.495 0.995 0.793
Br: 0.500 0.500 0.000
Br: 0.505 0.005 0.207
Br: 0.702 0.495 0.500
Br: 0.798 0.298 0.793
Br: 0.995 0.202 0.500

The 10 most intense peaks (2θ = 10–90°), sorted by position:
d/Å  I_rel
3.338  27
3.262  100
2.985  54
2.523  11
2.111  12
2.091  14
2.013  12
1.948  14
1.669  10
1.659  18



Entry 6:
Computed X-ray powder pattern of Rb4MgSe4O14 for Cu Kα, from the GGA-PBE geometry in the Materials Project.
Intensities are scaled so that the largest is 100.

Structure:
Cell lengths 8.644, 8.644, 7.437 Å; angles 99.21, 99.21, 56.43 degrees
Fractional coordinates of all 23 atoms:
Rb: 0.144 0.144 0.450
Rb: 0.296 0.362 0.083
Rb: 0.638 0.704 0.917
Rb: 0.856 0.856 0.550
Mg: 0.789 0.211 0.000
Se: 0.156 0.036 0.898
Se: 0.431 0.404 0.619
Se: 0.596 0.569 0.381
Se: 0.964 0.844 0.102
O: 0.026 0.220 0.059
O: 0.164 0.836 0.000
O: 0.214 0.502 0.661
O: 0.310 0.078 0.831
O: 0.412 0.588 0.500
O: 0.498 0.786 0.339
O: 0.507 0.218 0.472
O: 0.570 0.384 0.809
O: 0.616 0.430 0.191
O: 0.780 0.974 0.941
O: 0.782 0.493 0.528
O: 0.910 0.021 0.268
O: 0.922 0.690 0.169
O: 0.979 0.090 0.732

The 10 most intense peaks (2θ = 10–90°), sorted by position:
d/Å  I_rel
4.087  100
3.745  33
3.657  19
3.550  54
3.456  62
3.073  27
2.790  47
2.761  26
2.680  53
2.217  17



Question: Number 3 is which compound?
Answer: ZrGaPt